# 1
Diffraction record for Pr2Dy2Tl3. The powder diffractogram is calculated, not measured: it uses DFT lattice parameters and positions (PBE) and copper Kα.
Peak positions follow from Bragg's law for the DFT cell and can differ from measured ones.

Crystal structure
a b c (Å): 3.8134 6.4692 8.7985
angles (deg): 86.84 89.96 72.89
Space group P-1 (No. 2)
Asymmetric unit:
1 Pr 0.2093 0.0823 0.1601
2 Dy 0.0602 0.3800 0.7116
3 Tl 0.3522 0.7955 0.5437
4 Tl 0.5000 0.5000 0.0000

The 10 most intense peaks (2θ from 15° to 90°), low angle first:
d (Å)  Position (°2θ)  Rel. int.  (hkl)
2.861  31.27  54  0 2 -1
2.781  32.19  100  1 0 2
2.706  33.10  44  0 1 3
2.696  33.23  95  1 2 1
2.032  44.58  17  0 1 -4
1.907  47.69  19  2 1 0
1.906  47.72  16  0 3 2
1.654  55.55  19  1 3 -3
1.601  57.58  19  1 4 0
1.587  58.14  19  2 3 -1

***

# 2
Diffraction record for Pt6Rh5W. The powder diffractogram is calculated, not measured: it uses DFT lattice parameters and positions (PBE) and copper Kα.
Peak positions follow from Bragg's law for the DFT cell and can differ from measured ones.

Crystal structure
a b c (Å): 3.9042 7.8845 11.7074
angles (deg): 90.00 90.00 90.00
Space group Immm (No. 71)
Asymmetric unit:
1 Pt 0.0000 0.2445 0.0000
2 Pt 0.0000 0.2529 0.3332
3 Rh 0.0000 0.0000 0.1614
4 Rh 0.0000 0.0000 0.5000
5 Rh 0.0000 0.5000 0.1611
6 W 0.0000 0.5000 0.5000

The 10 most intense peaks (2θ from 15° to 90°), low angle first:
d (Å)  Position (°2θ)  Rel. int.  (hkl)
3.942  22.55  6  0 2 0
2.760  32.44  5  1 0 3
2.261  39.87  100  1 2 3
1.971  46.05  17  0 4 0
1.952  46.53  32  2 0 0
1.387  67.54  21  2 4 0
1.380  67.92  10  2 0 6
1.186  81.05  13  1 6 3
1.178  81.76  25  3 2 3
1.131  85.99  11  2 4 6

***

What did the second record say?
Diffraction record for Pt6Rh5W. The powder diffractogram is calculated, not measured: it uses DFT lattice parameters and positions (PBE) and copper Kα.
Peak positions follow from Bragg's law for the DFT cell and can differ from measured ones.

Crystal structure
a b c (Å): 3.9042 7.8845 11.7074
angles (deg): 90.00 90.00 90.00
Space group Immm (No. 71)
Asymmetric unit:
1 Pt 0.0000 0.2445 0.0000
2 Pt 0.0000 0.2529 0.3332
3 Rh 0.0000 0.0000 0.1614
4 Rh 0.0000 0.0000 0.5000
5 Rh 0.0000 0.5000 0.1611
6 W 0.0000 0.5000 0.5000

The 10 most intense peaks (2θ from 15° to 90°), low angle first:
d (Å)  Position (°2θ)  Rel. int.  (hkl)
3.942  22.55  6  0 2 0
2.760  32.44  5  1 0 3
2.261  39.87  100  1 2 3
1.971  46.05  17  0 4 0
1.952  46.53  32  2 0 0
1.387  67.54  21  2 4 0
1.380  67.92  10  2 0 6
1.186  81.05  13  1 6 3
1.178  81.76  25  3 2 3
1.131  85.99  11  2 4 6